Entry 1:
Starting from a crystal structure in Alexandria, relaxed with PBE, the PXRD pattern of Sm2Y2Ho5 was computed for Cu Kα (weighted mean of Kα1 and Kα2).

Cell and atoms:
a = 14.895 Å, b = 11.783 Å, c = 6.705 Å
α = 90.00°, β = 90.00°, γ = 90.00°
Space group Ima2 (No. 46)
Inequivalent atoms, fractional coordinates:
Sm  0.000  0.000  0.000
Sm  0.250  0.010  0.093
Y  0.126  0.504  0.044
Ho  0.052  0.744  0.695
Ho  0.143  0.235  0.883
Ho  0.250  0.749  0.888

The 10 most intense peaks (5 to 70 degrees two-theta), by intensity:
| hkl | Position (°2θ) | d [Å] | intensity |
| --- | --- | --- | --- |
| 0 4 0 | 30.34 | 2.946 | 100 |
| 2 2 2 | 33.01 | 2.713 | 77 |
| 5 1 0 | 30.96 | 2.888 | 74 |
| 0 2 2 | 30.68 | 2.914 | 69 |
| 4 1 1 | 28.45 | 3.138 | 62 |
| 3 1 2 | 33.13 | 2.704 | 58 |
| 5 3 0 | 37.91 | 2.373 | 48 |
| 4 3 1 | 35.83 | 2.506 | 42 |
| 0 2 0 | 15.04 | 5.892 | 34 |
| 3 3 2 | 39.74 | 2.268 | 32 |


Entry 2:
Starting from a crystal structure in Alexandria, relaxed with PBE, the PXRD pattern of La7Ga2Hg2 was computed for Cu Kα (weighted mean of Kα1 and Kα2).

Cell and atoms:
a = 8.188 Å, b = 11.225 Å, c = 7.770 Å
α = 90.00°, β = 90.00°, γ = 90.00°
Space group Cmmm (No. 65)
Inequivalent atoms, fractional coordinates:
La  0.000  0.000  0.000
La  0.000  0.500  0.297
La  0.250  0.250  0.306
Ga  0.155  0.000  0.500
Hg  0.000  0.294  0.000

The 10 most intense peaks (5 to 70 degrees two-theta), by intensity:
| hkl | Position (°2θ) | d [Å] | intensity |
| --- | --- | --- | --- |
| 2 2 2 | 35.65 | 2.518 | 100 |
| 2 0 1 | 24.58 | 3.622 | 78 |
| 1 3 2 | 35.05 | 2.560 | 70 |
| 0 4 0 | 31.89 | 2.806 | 68 |
| 2 2 0 | 26.96 | 3.307 | 41 |
| 1 3 1 | 28.64 | 3.117 | 40 |
| 0 0 3 | 34.63 | 2.590 | 38 |
| 2 0 2 | 31.75 | 2.818 | 38 |
| 2 2 1 | 29.35 | 3.043 | 36 |
| 3 3 1 | 42.62 | 2.121 | 32 |


Entry 3:
Starting from a crystal structure in Alexandria, relaxed with PBE, the PXRD pattern of Th4FePb was computed for Cu Kα (weighted mean of Kα1 and Kα2).

Cell and atoms:
a = 6.044 Å, b = 6.567 Å, c = 9.056 Å
α = 90.00°, β = 102.08°, γ = 90.00°
Space group P2_1/m (No. 11)
Inequivalent atoms, fractional coordinates:
Th  0.128  0.250  0.495
Th  0.235  0.509  0.843
Th  0.331  0.750  0.333
Fe  0.337  0.750  0.603
Pb  0.266  0.250  0.166

The 10 most intense peaks (5 to 70 degrees two-theta), by intensity:
| hkl | Position (°2θ) | d [Å] | intensity |
| --- | --- | --- | --- |
| 1 2 1 | 33.81 | 2.651 | 100 |
| 2 0 0 | 30.26 | 2.954 | 73 |
| 1 2 -2 | 35.51 | 2.528 | 62 |
| 0 2 1 | 29.00 | 3.079 | 44 |
| 1 2 -1 | 31.78 | 2.815 | 42 |
| 1 0 2 | 27.58 | 3.234 | 28 |
| 0 1 2 | 24.24 | 3.671 | 26 |
| 3 2 -2 | 54.56 | 1.682 | 24 |
| 1 1 3 | 39.33 | 2.291 | 23 |
| 0 4 0 | 56.00 | 1.642 | 22 |


Entry 4:
Starting from a crystal structure in Alexandria, relaxed with PBE, the PXRD pattern of Te8PdAu4 was computed for Cu Kα (weighted mean of Kα1 and Kα2).

Cell and atoms:
a = 13.408 Å, b = 8.946 Å, c = 6.820 Å
α = 90.00°, β = 117.59°, γ = 90.00°
Space group C2/m (No. 12)
Inequivalent atoms, fractional coordinates:
Te  0.020  0.238  0.292
Te  0.229  0.500  0.198
Te  0.229  0.500  0.749
Pd  0.000  0.500  0.500
Au  0.000  0.000  0.000
Au  0.000  0.500  0.000
Au  0.250  0.250  0.500

The 10 most intense peaks (5 to 70 degrees two-theta), by intensity:
| hkl | Position (°2θ) | d [Å] | intensity |
| --- | --- | --- | --- |
| 2 2 -2 | 33.06 | 2.710 | 100 |
| 4 0 0 | 30.08 | 2.971 | 59 |
| 0 2 1 | 24.76 | 3.596 | 48 |
| 6 2 -2 | 46.26 | 1.962 | 38 |
| 2 2 2 | 44.32 | 2.044 | 35 |
| 2 0 -1 | 15.32 | 5.783 | 31 |
| 0 4 0 | 40.33 | 2.237 | 30 |
| 4 4 0 | 51.12 | 1.787 | 26 |
| 4 2 1 | 44.59 | 2.032 | 16 |
| 4 2 -1 | 33.42 | 2.682 | 12 |